1.
Computed powder diffraction line list of PdPtF6 for Cu Kα (λ = 1.5418 Å), from a structure optimized by DFT (GGA-PBE).
Lines closer than 0.1° are merged.

abc: 5.6734 5.6734 5.6734
angles: 54.43 54.43 54.43
Positions (direct):
Pd1 0.0000 0.0000 0.0000
Pt1 0.5000 0.5000 0.5000
F1 0.1096 0.4193 0.7320
F2 0.2680 0.8904 0.5807
F3 0.4193 0.7320 0.1096
F4 0.5807 0.2680 0.8904
F5 0.7320 0.1096 0.4193
F6 0.8904 0.5807 0.2680

Most intense lines, 2θ = 5–70°, sorted by position:
2θ/deg  d/Å  Rel. int.
23.3  3.816  100
31.8  2.816  43
34.6  2.595  23
42.1  2.146  19
47.7  1.908  15
51.8  1.765  31
55.6  1.654  18
60.2  1.537  14

2.
Computed powder diffraction line list of Rb3PdF6 for Cu Kα (λ = 1.5418 Å), from a structure optimized by DFT (GGA-PBE).
Lines closer than 0.1° are merged.

abc: 6.6314 6.6314 6.6314
angles: 60.00 60.00 60.00
Positions (direct):
Rb1 0.0000 0.0000 0.0000
Rb2 0.2500 0.2500 0.2500
Rb3 0.7500 0.7500 0.7500
Pd1 0.5000 0.5000 0.5000
F1 0.2803 0.2803 0.7197
F2 0.2803 0.7197 0.2803
F3 0.2803 0.7197 0.7197
F4 0.7197 0.2803 0.2803
F5 0.7197 0.2803 0.7197
F6 0.7197 0.7197 0.2803

Most intense lines, 2θ = 5–70°, sorted by position:
2θ/deg  d/Å  Rel. int.
16.4  5.414  4
18.9  4.689  5
26.9  3.316  100
38.4  2.345  39
47.5  1.914  39
55.4  1.658  24
62.7  1.483  20
69.4  1.354  7

3.
Computed powder diffraction line list of Rb3PdF5 for Cu Kα (λ = 1.5418 Å), from a structure optimized by DFT (GGA-PBE).
Lines closer than 0.1° are merged.

abc: 7.6122 7.6122 6.5458
angles: 90.00 90.00 90.00
Positions (direct):
Rb1 0.0000 0.0000 0.0000
Rb2 0.1763 0.3237 0.5000
Rb3 0.3237 0.8237 0.5000
Rb4 0.5000 0.5000 0.0000
Rb5 0.6763 0.1763 0.5000
Rb6 0.8237 0.6763 0.5000
Pd1 0.0000 0.5000 0.0000
Pd2 0.5000 0.0000 0.0000
F1 0.0000 0.0000 0.5000
F2 0.1322 0.6322 0.2129
F3 0.1322 0.6322 0.7871
F4 0.3678 0.1322 0.2129
F5 0.3678 0.1322 0.7871
F6 0.5000 0.5000 0.5000
F7 0.6322 0.8678 0.2129
F8 0.6322 0.8678 0.7871
F9 0.8678 0.3678 0.2129
F10 0.8678 0.3678 0.7871

Most intense lines, 2θ = 5–70°, sorted by position:
2θ/deg  d/Å  Rel. int.
27.1  3.290  100
27.2  3.273  32
29.6  3.020  39
33.3  2.691  29
38.1  2.359  32
43.5  2.079  27
48.1  1.893  21
55.8  1.646  16

4.
Computed powder diffraction line list of Rb2TlPdF6 for Cu Kα (λ = 1.5418 Å), from a structure optimized by DFT (GGA-PBE).
Lines closer than 0.1° are merged.

abc: 6.5094 6.5094 6.5094
angles: 60.00 60.00 60.00
Positions (direct):
Rb1 0.2500 0.2500 0.2500
Rb2 0.7500 0.7500 0.7500
Tl1 0.0000 0.0000 0.0000
Pd1 0.5000 0.5000 0.5000
F1 0.2717 0.2717 0.7283
F2 0.2717 0.7283 0.2717
F3 0.2717 0.7283 0.7283
F4 0.7283 0.2717 0.2717
F5 0.7283 0.2717 0.7283
F6 0.7283 0.7283 0.2717

Most intense lines, 2θ = 5–70°, sorted by position:
2θ/deg  d/Å  Rel. int.
19.3  4.603  19
27.4  3.255  100
32.3  2.776  6
39.1  2.301  34
44.0  2.058  8
48.4  1.879  42
56.6  1.627  22
64.0  1.456  20

5.
Computed powder diffraction line list of PrF3 for Cu Kα (λ = 1.5418 Å), from a structure optimized by DFT (GGA-PBE).
Lines closer than 0.1° are merged.

abc: 7.1570 7.1570 7.1471
angles: 90.00 90.00 120.00
Positions (direct):
Pr1 0.0000 0.3301 0.0000
Pr2 0.0000 0.6699 0.5000
Pr3 0.3301 0.0000 0.0000
Pr4 0.3301 0.3301 0.5000
Pr5 0.6699 0.0000 0.5000
Pr6 0.6699 0.6699 0.0000
F1 0.0000 0.0000 0.2500
F2 0.0000 0.0000 0.7500
F3 0.0100 0.3492 0.3346
F4 0.0100 0.6607 0.1654
F5 0.3333 0.6667 0.5229
F6 0.3333 0.6667 0.9771
F7 0.3393 0.3492 0.1654
F8 0.3393 0.9900 0.3346
F9 0.3492 0.0100 0.6654
F10 0.3492 0.3393 0.8346
F11 0.6508 0.6607 0.3346
F12 0.6508 0.9900 0.1654
F13 0.6607 0.0100 0.8346
F14 0.6607 0.6508 0.6654
F15 0.6667 0.3333 0.0229
F16 0.6667 0.3333 0.4771
F17 0.9900 0.3393 0.6654
F18 0.9900 0.6508 0.8346

Most intense lines, 2θ = 5–70°, sorted by position:
2θ/deg  d/Å  Rel. int.
24.9  3.576  63
27.9  3.200  100
43.8  2.066  52
45.8  1.983  56
51.1  1.788  39
52.7  1.736  18
65.2  1.431  18
69.5  1.352  16

6.
Computed powder diffraction line list of PrF3 for Cu Kα (λ = 1.5418 Å), from a structure optimized by DFT (GGA-PBE).
Lines closer than 0.1° are merged.

abc: 7.1465 7.1465 7.3345
angles: 90.00 90.00 120.00
Positions (direct):
Pr1 0.0000 0.3440 0.2500
Pr2 0.0000 0.6560 0.7500
Pr3 0.3440 0.0000 0.2500
Pr4 0.3440 0.3440 0.7500
Pr5 0.6560 0.0000 0.7500
Pr6 0.6560 0.6560 0.2500
F1 0.0000 0.0000 0.2500
F2 0.0000 0.0000 0.7500
F3 0.0624 0.3717 0.9195
F4 0.0624 0.6907 0.4195
F5 0.3093 0.3717 0.4195
F6 0.3093 0.9376 0.9195
F7 0.3333 0.6667 0.1831
F8 0.3333 0.6667 0.6831
F9 0.3717 0.0624 0.5805
F10 0.3717 0.3093 0.0805
F11 0.6283 0.6907 0.9195
F12 0.6283 0.9376 0.4195
F13 0.6667 0.3333 0.3169
F14 0.6667 0.3333 0.8169
F15 0.6907 0.0624 0.0805
F16 0.6907 0.6283 0.5805
F17 0.9376 0.3093 0.5805
F18 0.9376 0.6283 0.0805

Most intense lines, 2θ = 5–70°, sorted by position:
2θ/deg  d/Å  Rel. int.
24.3  3.667  38
24.9  3.573  27
27.8  3.212  100
43.9  2.063  43
44.9  2.018  54
50.8  1.798  33
52.7  1.736  19
64.6  1.443  15

7.
Computed powder diffraction line list of PrF3 for Cu Kα (λ = 1.5418 Å), from a structure optimized by DFT (GGA-PBE).
Lines closer than 0.1° are merged.

abc: 7.1574 7.1574 7.1405
angles: 90.00 90.00 120.00
Positions (direct):
Pr1 0.0000 0.3297 0.2500
Pr2 0.0000 0.6703 0.7500
Pr3 0.3297 0.0000 0.2500
Pr4 0.3297 0.3297 0.7500
Pr5 0.6703 0.0000 0.7500
Pr6 0.6703 0.6703 0.2500
F1 0.0000 0.0000 0.0000
F2 0.0000 0.0000 0.5000
F3 0.0000 0.3439 0.5842
F4 0.0000 0.3439 0.9158
F5 0.0000 0.6561 0.0842
F6 0.0000 0.6561 0.4158
F7 0.3333 0.6667 0.2500
F8 0.3333 0.6667 0.7500
F9 0.3439 0.0000 0.5842
F10 0.3439 0.0000 0.9158
F11 0.3439 0.3439 0.0842
F12 0.3439 0.3439 0.4158
F13 0.6561 0.0000 0.0842
F14 0.6561 0.0000 0.4158
F15 0.6561 0.6561 0.5842
F16 0.6561 0.6561 0.9158
F17 0.6667 0.3333 0.2500
F18 0.6667 0.3333 0.7500

Most intense lines, 2θ = 5–70°, sorted by position:
2θ/deg  d/Å  Rel. int.
24.9  3.574  64
27.9  3.199  100
35.5  2.528  14
43.8  2.066  52
45.8  1.982  56
51.1  1.788  33
52.7  1.736  18
65.2  1.430  18

8.
Computed powder diffraction line list of Pr2S2F for Cu Kα (λ = 1.5418 Å), from a structure optimized by DFT (GGA-PBE).
Lines closer than 0.1° are merged.

abc: 5.4359 5.4359 13.6431
angles: 90.00 90.00 90.00
Positions (direct):
Pr1 0.0000 0.0000 0.1820
Pr2 0.0000 0.0000 0.8180
S1 0.0000 0.0000 0.3570
S2 0.0000 0.0000 0.6430
F1 0.0000 0.0000 0.0000

Most intense lines, 2θ = 5–70°, sorted by position:
2θ/deg  d/Å  Rel. int.
6.5  13.643  21
13.0  6.822  19
16.3  5.436  100
20.9  4.251  26
23.1  3.844  43
25.5  3.488  17
33.0  2.718  17
37.0  2.431  25

9.
Computed powder diffraction line list of PrSF for Cu Kα (λ = 1.5418 Å), from a structure optimized by DFT (GGA-PBE).
Lines closer than 0.1° are merged.

abc: 3.9908 3.9908 7.0202
angles: 90.00 90.00 90.00
Positions (direct):
Pr1 0.2500 0.2500 0.2303
Pr2 0.7500 0.7500 0.7697
S1 0.2500 0.2500 0.6475
S2 0.7500 0.7500 0.3525
F1 0.2500 0.7500 0.0000
F2 0.7500 0.2500 0.0000

Most intense lines, 2θ = 5–70°, sorted by position:
2θ/deg  d/Å  Rel. int.
25.4  3.510  32
25.7  3.469  100
31.7  2.822  55
41.0  2.199  62
44.9  2.019  36
45.5  1.995  31
52.9  1.730  29
65.8  1.419  23

10.
Computed powder diffraction line list of Sr2PrF6 for Cu Kα (λ = 1.5418 Å), from a structure optimized by DFT (GGA-PBE).
Lines closer than 0.1° are merged.

abc: 7.1696 7.1696 7.1696
angles: 147.39 129.74 61.21
Positions (direct):
Sr1 0.1712 0.1712 0.0000
Sr2 0.8288 0.8288 0.0000
Pr1 0.5000 0.5000 0.0000
F1 0.0858 0.3379 0.7479
F2 0.2337 0.0000 0.2337
F3 0.4100 0.6621 0.7479
F4 0.5900 0.3379 0.2521
F5 0.7663 0.0000 0.7663
F6 0.9142 0.6621 0.2521

Most intense lines, 2θ = 5–70°, sorted by position:
2θ/deg  d/Å  Rel. int.
26.1  3.409  99
26.5  3.358  100
31.1  2.877  25
43.3  2.091  95
44.0  2.057  22
45.0  2.013  21
52.1  1.754  30
52.8  1.733  29